Record 1
Simulated powder diffraction line list of LiFe4B4O12 for Cu Kα (weighted mean of Kα1 and Kα2), from the GGA+U geometry in the Materials Project.
Intensities are scaled so that the largest is 100.

Lattice parameters (Å, degrees): 5.3165 9.0103 11.3990 67.00 77.02 89.79
Fractional positions:
Li 0.0000 0.0000 0.0000
Li 0.1782 0.8607 0.2655
Fe 0.1771 0.5159 0.2787
Fe 0.2331 0.9013 0.5241
Fe 0.4240 0.4395 0.7750
Fe 0.4879 0.8113 0.0278
Fe 0.6744 0.0283 0.2742
Fe 0.7283 0.3981 0.5247
Fe 0.9159 0.9349 0.7755
Fe 0.9756 0.3224 0.0230
B 0.1753 0.1866 0.2735
B 0.2264 0.5629 0.5209
B 0.4294 0.7760 0.7735
B 0.4662 0.1482 0.0251
B 0.6895 0.6868 0.2772
B 0.7192 0.0609 0.5280
B 0.9243 0.2745 0.7808
B 0.9824 0.6509 0.0272
O 0.0445 0.3771 0.8216
O 0.1075 0.4595 0.4802
O 0.1510 0.7125 0.5004
O 0.1810 0.6388 0.0902
O 0.2148 0.8289 0.7205
O 0.2686 0.0328 0.3222
O 0.2766 0.3141 0.2871
O 0.3308 0.0058 0.0495
O 0.3611 0.2960 0.9736
O 0.4309 0.5064 0.5805
O 0.4484 0.6899 0.2448
O 0.5194 0.6342 0.7787
O 0.5457 0.8734 0.8194
O 0.6043 0.9631 0.4823
O 0.6286 0.2018 0.5246
O 0.7091 0.1469 0.0539
O 0.7211 0.3301 0.7210
O 0.7901 0.5361 0.3278
O 0.8237 0.8256 0.2571
O 0.8772 0.5234 0.0148
O 0.8909 0.8047 0.9745
O 0.9366 0.0089 0.5793
O 0.9724 0.1981 0.2123
O 0.9985 0.1232 0.8036

Principal peaks in the range 15° ≤ 2θ ≤ 90°, most intense first:
| Position (°2θ) | Rel. int. |
| --- | --- |
| 19.71 | 100 |
| 35.27 | 92 |
| 21.56 | 60 |
| 26.31 | 59 |
| 21.36 | 53 |
| 21.35 | 52 |
| 19.39 | 52 |
| 26.11 | 39 |



Record 2
Simulated powder diffraction line list of Sr4LaMn5O15 for Cu Kα (weighted mean of Kα1 and Kα2), from the GGA+U geometry in the Materials Project.
Intensities are scaled so that the largest is 100.

Lattice parameters (Å, degrees): 5.5056 8.6137 13.4592 75.30 89.18 71.68
Fractional positions:
Sr 0.0000 0.0000 0.0000
Sr 0.9996 0.0005 0.4994
Sr 0.2014 0.5962 0.4018
Sr 0.2011 0.5986 0.9001
Sr 0.3996 0.2015 0.7985
Sr 0.4015 0.1987 0.3009
Sr 0.7993 0.3967 0.1012
Sr 0.7996 0.3987 0.5997
La 0.5981 0.8010 0.6992
La 0.6005 0.7961 0.2032
Mn 0.0022 0.9980 0.2510
Mn 0.1982 0.5997 0.6500
Mn 0.2011 0.5958 0.1505
Mn 0.3985 0.1995 0.0491
Mn 0.3992 0.2000 0.5492
Mn 0.6007 0.7986 0.4506
Mn 0.6015 0.7992 0.9511
Mn 0.8010 0.3988 0.8513
Mn 0.8024 0.3961 0.3511
Mn 0.9973 0.0016 0.7496
O 0.0899 0.8034 0.6953
O 0.0927 0.3016 0.9475
O 0.1021 0.2987 0.4506
O 0.1123 0.7923 0.2070
O 0.2062 0.0924 0.6479
O 0.2126 0.0854 0.1544
O 0.2860 0.9037 0.8412
O 0.2977 0.3978 0.6016
O 0.3052 0.3941 0.1040
O 0.3114 0.8953 0.3498
O 0.4003 0.7019 0.5514
O 0.4047 0.6990 0.0563
O 0.4849 0.5137 0.7454
O 0.5023 0.9955 0.5029
O 0.5037 0.9955 0.0034
O 0.5135 0.5005 0.2543
O 0.6013 0.3000 0.9486
O 0.6022 0.2985 0.4511
O 0.6922 0.6056 0.8956
O 0.6934 0.0937 0.6482
O 0.7007 0.6019 0.3980
O 0.7196 0.0824 0.1567
O 0.7942 0.9019 0.8435
O 0.8005 0.8946 0.3503
O 0.8912 0.2061 0.7923
O 0.8915 0.7009 0.5520
O 0.9049 0.1984 0.3006
O 0.9071 0.6972 0.0560
O 0.9868 0.5112 0.7468
O 0.9950 0.5037 0.2530

Principal peaks in the range 15° ≤ 2θ ≤ 90°, most intense first:
| Position (°2θ) | Rel. int. |
| --- | --- |
| 32.50 | 100 |
| 32.56 | 99 |
| 32.84 | 97 |
| 40.25 | 47 |
| 46.19 | 38 |
| 47.04 | 36 |
| 47.22 | 36 |
| 58.43 | 28 |



Record 3
Simulated powder diffraction line list of KTaWO6 for Cu Kα (weighted mean of Kα1 and Kα2), from the GGA+U geometry in the Materials Project.
Intensities are scaled so that the largest is 100.

Lattice parameters (Å, degrees): 7.4677 7.4677 7.4677 119.68 90.11 120.19
Fractional positions:
K 0.2324 0.2500 0.4824
K 0.7676 0.7500 0.5176
Ta 0.7166 0.2166 0.5000
Ta 0.7166 0.7166 0.0000
W 0.2155 0.7158 0.9997
W 0.7161 0.2158 0.0003
O 0.0246 0.4681 0.0565
O 0.0316 0.4718 0.6949
O 0.0316 0.8367 0.0598
O 0.4039 0.5985 0.9383
O 0.4039 0.9657 0.3054
O 0.4116 0.9681 0.9435
O 0.6562 0.4699 0.6863
O 0.6603 0.0985 0.6946
O 0.6603 0.4657 0.0617
O 0.7769 0.3367 0.3051
O 0.7769 0.9718 0.9402
O 0.7836 0.9699 0.3137

Principal peaks in the range 15° ≤ 2θ ≤ 90°, most intense first:
| Position (°2θ) | Rel. int. |
| --- | --- |
| 29.21 | 100 |
| 29.36 | 98 |
| 33.94 | 70 |
| 27.96 | 62 |
| 57.98 | 55 |
| 28.06 | 54 |
| 48.78 | 54 |
| 57.74 | 29 |